Starting from the GGA-PBE geometry in Alexandria, the powder XRD pattern of Rb4Sc3TiTe8 was simulated for a wavelength of 1.5418 Å.
No peak broadening, texture or thermal motion is included.

The 8 most intense peaks (2θ from 10° to 90°), in order of rising 2θ:
two_theta	d/Å	intensity	hkl
27.74	3.215	100.0	0 2 4
29.71	3.007	25.0	2 0 5
31.65	2.827	14.1	0 0 9
37.16	2.419	25.0	2 0 8
41.99	2.152	38.1	2 2 0
51.08	1.788	17.7	4 0 4
53.52	1.712	19.0	2 2 9
68.19	1.375	14.5	2 4 4

Structural model:
Lattice parameters (Å, degrees): 8.6062 8.6062 25.4446 90.00 90.00 120.00
Space group R-3m (No. 166, hexagonal axes)
Unique sites:
Rb 0.0000 0.0000 0.0000 (multiplicity 3)
Rb 0.0000 0.5000 0.0000 (multiplicity 9)
Sc 0.0000 0.5000 0.5000 (multiplicity 9)
Ti 0.0000 0.0000 0.5000 (multiplicity 3)
Te 0.0000 0.0000 0.2302 (multiplicity 6)
Te 0.0073 0.5036 0.2291 (multiplicity 18)